The following is a simulated XRD peak list of MnCo9O10. It was derived from a GGA+U-relaxed structure, using Cu Kα.
Lines closer than 0.1° are merged.

Top 6 peaks for 15 to 90 degrees two-theta, by intensity:
2θ = 42.05°, intensity 100
2θ = 60.87°, intensity 73
2θ = 36.11°, intensity 53
2θ = 36.23°, intensity 52
2θ = 41.92°, intensity 50
2θ = 72.89°, intensity 17

```
20
Lattice="7.8771 -1.5229 0.0000 7.8771 1.5229 0.0000 -2.3507 0.0000 8.2940" Properties=species:S:1:pos:R:3 pbc="T T T"
Mn 0.0000 0.0000 0.0000
Co -1.1754 0.0000 4.1470
Co 2.9174 0.0000 0.8280
Co 1.7400 0.0000 4.9710
Co 5.8336 0.0000 1.6625
Co 4.6509 0.0000 5.7975
Co 8.7526 0.0000 2.4965
Co 7.5698 0.0000 6.6315
Co 11.6635 0.0000 3.3230
Co 10.4860 0.0000 7.4659
O -0.5703 0.0000 2.0661
O 2.3259 0.0000 2.9100
O 1.1547 0.0000 7.0362
O 4.0517 0.0000 7.8872
O 5.2521 0.0000 3.7345
O 8.1513 0.0000 4.5595
O 9.3518 0.0000 0.4068
O 12.2487 0.0000 1.2578
O 11.0775 0.0000 5.3839
O 13.9737 0.0000 6.2279
```